No. 1
Cs3Be2Br8: calculated powder diffraction line list (Cu Ka), based on a cell relaxed with PBE.
Intensities are scaled so that the largest is 100.

Structural model:
Lattice parameters (Å, degrees): 7.5323 7.5323 29.9728 90.00 90.00 120.00
Space group R-3m (No. 166, hexagonal axes)
Asymmetric unit:
Cs 0.0000 0.0000 0.0000
Cs 0.0000 0.0000 0.2112
Be 0.0000 0.0000 0.4123
Br 0.0000 0.0000 0.3388
Br 0.0150 0.5075 0.2312

Main lines, sorted by position (10° ≤ 2θ ≤ 80°):
d/Å  2θ (°)  Rel. int.  h k l
4.414  20.12  38.0  0 1 5
3.766  23.62  61.5  1 1 0
3.330  26.77  77.8  0 0 9
3.187  28.00  100.0  2 0 2
3.007  29.71  57.5  1 1 6
2.991  29.88  74.2  0 2 4
2.865  31.22  65.6  2 0 5
2.595  34.57  48.2  0 2 7
2.495  36.00  31.3  1 1 9
1.883  48.34  68.5  2 2 0
1.765  51.80  27.9  1 1 15
1.639  56.11  56.2  2 2 9

No. 2
Cs3BeBr5: calculated powder diffraction line list (Cu Ka), based on a cell relaxed with PBE.
Intensities are scaled so that the largest is 100.

Structural model:
Lattice parameters (Å, degrees): 9.8761 9.8761 14.7356 90.00 90.00 90.00
Space group I4/mcm (No. 140)
Asymmetric unit:
Cs 0.0000 0.0000 0.2500
Cs 0.1682 0.3318 0.0000
Be 0.0000 0.5000 0.2500
Br 0.0000 0.0000 0.0000
Br 0.1287 0.3713 0.3370

Main lines, sorted by position (10° ≤ 2θ ≤ 80°):
d/Å  2θ (°)  Rel. int.  h k l
4.102  21.67  15.4  2 0 2
3.492  25.51  13.2  2 2 0
3.284  27.15  100.0  2 1 3
3.258  27.37  14.4  1 1 4
3.123  28.58  60.0  3 1 0
2.534  35.42  10.9  2 2 4
2.455  36.60  10.9  0 0 6
2.382  37.76  12.1  3 1 4
1.741  52.56  10.4  4 0 6
1.718  53.32  15.7  5 2 3
1.539  60.13  10.6  5 3 4
1.535  60.29  11.8  2 1 9